[1]
For K2Zr6BeCl15, a crystal structure in the Materials Project, relaxed with PBE gives the simulated powder diffraction line list in this record (Cu Kα, 1.54184 Å).
Lines closer than 0.1° are merged.

Most intense lines, 2θ = 10–90°, most intense first:
- 11.16°, d 7.929, rel. 100
- 10.66°, d 8.301, rel. 37
- 37.85°, d 2.377, rel. 31
- 26.41°, d 3.374, rel. 25
- 50.79°, d 1.797, rel. 24
- 36.52°, d 2.460, rel. 24
- 35.65°, d 2.518, rel. 16
- 31.20°, d 2.867, rel. 15

Crystal structure
abc: 10.124 10.124 14.381
angles: 90.00 90.00 110.16
Element x y z (fractional)
1 K 0.000 0.000 0.250
2 K 0.000 0.000 0.750
3 K 0.000 0.500 0.000
4 K 0.500 0.000 0.500
5 Zr 0.005 0.268 0.500
6 Zr 0.178 0.560 0.382
7 Zr 0.178 0.560 0.618
8 Zr 0.268 0.005 0.000
9 Zr 0.440 0.822 0.118
10 Zr 0.440 0.822 0.882
11 Zr 0.560 0.178 0.118
12 Zr 0.560 0.178 0.882
13 Zr 0.732 0.995 0.000
14 Zr 0.822 0.440 0.382
15 Zr 0.822 0.440 0.618
16 Zr 0.995 0.732 0.500
17 Be 0.000 0.500 0.500
18 Be 0.500 0.000 0.000
19 Cl 0.000 0.000 0.000
20 Cl 0.000 0.000 0.500
21 Cl 0.000 0.500 0.246
22 Cl 0.000 0.500 0.754
23 Cl 0.178 0.809 0.124
24 Cl 0.178 0.809 0.876
25 Cl 0.191 0.822 0.376
26 Cl 0.191 0.822 0.624
27 Cl 0.193 0.309 0.372
28 Cl 0.193 0.309 0.628
29 Cl 0.309 0.193 0.128
30 Cl 0.309 0.193 0.872
31 Cl 0.363 0.617 0.000
32 Cl 0.373 0.627 0.250
33 Cl 0.373 0.627 0.750
34 Cl 0.383 0.637 0.500
35 Cl 0.500 0.000 0.254
36 Cl 0.500 0.000 0.746
37 Cl 0.617 0.363 0.500
38 Cl 0.627 0.373 0.250
39 Cl 0.627 0.373 0.750
40 Cl 0.637 0.383 0.000
41 Cl 0.691 0.807 0.128
42 Cl 0.691 0.807 0.872
43 Cl 0.807 0.691 0.372
44 Cl 0.807 0.691 0.628
45 Cl 0.809 0.178 0.376
46 Cl 0.809 0.178 0.624
47 Cl 0.822 0.191 0.124
48 Cl 0.822 0.191 0.876

=====

[2]
For Mn2Sb2H8S5N4, a crystal structure in the Materials Project, relaxed with PBE gives the simulated powder diffraction line list in this record (Cu Kα, 1.54184 Å).
Lines closer than 0.1° are merged.

Most intense lines, 2θ = 10–90°, most intense first:
- 11.56°, d 7.654, rel. 100
- 31.44°, d 2.846, rel. 61
- 34.89°, d 2.572, rel. 58
- 32.11°, d 2.787, rel. 55
- 19.96°, d 4.448, rel. 39
- 12.05°, d 7.345, rel. 26
- 29.76°, d 3.003, rel. 23
- 12.54°, d 7.060, rel. 23

Crystal structure
abc: 8.931 9.026 9.065
angles: 69.33 64.78 86.12
Element x y z (fractional)
1 Mn 0.044 0.402 0.179
2 Mn 0.383 0.044 0.190
3 Mn 0.617 0.956 0.810
4 Mn 0.956 0.598 0.821
5 Sb 0.159 0.844 0.998
6 Sb 0.319 0.302 0.770
7 Sb 0.681 0.698 0.230
8 Sb 0.841 0.156 0.002
9 H 0.036 0.767 0.458
10 H 0.107 0.964 0.551
11 H 0.189 0.680 0.486
12 H 0.273 0.876 0.540
13 H 0.288 0.221 0.429
14 H 0.313 0.489 0.247
15 H 0.366 0.429 0.082
16 H 0.477 0.282 0.274
17 H 0.523 0.718 0.726
18 H 0.634 0.571 0.918
19 H 0.687 0.511 0.753
20 H 0.712 0.779 0.571
21 H 0.727 0.124 0.460
22 H 0.811 0.320 0.514
23 H 0.893 0.036 0.449
24 H 0.964 0.233 0.542
25 S 0.080 0.364 0.690
26 S 0.159 0.163 0.089
27 S 0.212 0.622 0.880
28 S 0.378 0.798 0.107
29 S 0.393 0.061 0.690
30 S 0.607 0.939 0.310
31 S 0.622 0.202 0.893
32 S 0.788 0.378 0.120
33 S 0.841 0.837 0.911
34 S 0.920 0.636 0.310
35 N 0.101 0.750 0.534
36 N 0.191 0.903 0.482
37 N 0.294 0.396 0.214
38 N 0.357 0.254 0.296
39 N 0.643 0.746 0.704
40 N 0.706 0.604 0.786
41 N 0.809 0.097 0.518
42 N 0.899 0.250 0.466

=====

[3]
For Ba3ZnIrRuO9, a crystal structure in the Materials Project, relaxed with PBE gives the simulated powder diffraction line list in this record (Cu Kα, 1.54184 Å).
Lines closer than 0.1° are merged.

Most intense lines, 2θ = 10–90°, most intense first:
- 30.54°, d 2.927, rel. 100
- 54.28°, d 1.690, rel. 30
- 35.96°, d 2.497, rel. 20
- 43.73°, d 2.070, rel. 20
- 88.33°, d 1.107, rel. 19
- 47.88°, d 1.900, rel. 19
- 63.57°, d 1.464, rel. 16
- 57.86°, d 1.594, rel. 15

Crystal structure
abc: 5.854 5.854 14.348
angles: 90.00 90.00 120.00
Element x y z (fractional)
1 Ba 0.000 0.000 0.249
2 Ba 0.000 0.000 0.751
3 Ba 0.333 0.667 0.586
4 Ba 0.333 0.667 0.915
5 Ba 0.667 0.333 0.085
6 Ba 0.667 0.333 0.414
7 Zn 0.000 0.000 0.000
8 Zn 0.000 0.000 0.500
9 Ir 0.333 0.667 0.160
10 Ir 0.667 0.333 0.840
11 Ru 0.333 0.667 0.342
12 Ru 0.667 0.333 0.658
13 O 0.023 0.512 0.250
14 O 0.172 0.344 0.084
15 O 0.172 0.345 0.416
16 O 0.172 0.828 0.084
17 O 0.172 0.828 0.416
18 O 0.344 0.172 0.916
19 O 0.345 0.172 0.584
20 O 0.488 0.512 0.250
21 O 0.488 0.977 0.250
22 O 0.512 0.023 0.750
23 O 0.512 0.488 0.750
24 O 0.655 0.828 0.416
25 O 0.656 0.828 0.084
26 O 0.828 0.172 0.584
27 O 0.828 0.172 0.916
28 O 0.828 0.655 0.584
29 O 0.828 0.656 0.916
30 O 0.977 0.488 0.750

=====

[4]
For ZnH2O2, a crystal structure in the Materials Project, relaxed with PBE gives the simulated powder diffraction line list in this record (Cu Kα, 1.54184 Å).
Lines closer than 0.1° are merged.

Most intense lines, 2θ = 10–90°, most intense first:
- 22.72°, d 3.914, rel. 100
- 27.03°, d 3.299, rel. 97
- 29.03°, d 3.076, rel. 53
- 26.27°, d 3.392, rel. 50
- 23.32°, d 3.815, rel. 45
- 22.90°, d 3.883, rel. 41
- 55.30°, d 1.661, rel. 36
- 27.13°, d 3.287, rel. 34

Crystal structure
abc: 3.322 8.151 12.426
angles: 72.47 82.63 89.99
Element x y z (fractional)
1 Zn 0.000 0.000 0.000
2 Zn 0.007 0.563 0.990
3 Zn 0.121 0.899 0.734
4 Zn 0.683 0.489 0.612
5 Zn 0.823 0.835 0.354
6 Zn 0.835 0.374 0.354
7 H 0.053 0.283 0.540
8 H 0.122 0.308 0.753
9 H 0.123 0.579 0.785
10 H 0.233 0.644 0.276
11 H 0.368 0.175 0.302
12 H 0.404 0.006 0.205
13 H 0.437 0.092 0.818
14 H 0.446 0.387 0.131
15 H 0.489 0.215 0.042
16 H 0.687 0.073 0.591
17 H 0.736 0.808 0.560
18 H 0.958 0.708 0.140
19 O 0.018 0.752 0.056
20 O 0.134 0.664 0.827
21 O 0.142 0.071 0.826
22 O 0.145 0.430 0.704
23 O 0.361 0.966 0.290
24 O 0.367 0.298 0.298
25 O 0.480 0.087 0.053
26 O 0.485 0.420 0.047
27 O 0.673 0.951 0.640
28 O 0.772 0.307 0.526
29 O 0.786 0.725 0.516
30 O 0.937 0.630 0.294